1.
Theoretical X-ray diffraction stick pattern
Compound: BaMg4Hg6
Radiation: Cu Kα (weighted mean of Kα1 and Kα2)
Structure: a structure optimized by DFT (PBE)

Principal peaks in the range 2θ from 10° to 90°, most intense first:
| Position (°2θ) | d [Å] | I/Imax |
| --- | --- | --- |
| 31.44 | 2.845 | 100.0 |
| 38.66 | 2.329 | 88.4 |
| 22.25 | 3.996 | 50.2 |
| 21.93 | 4.053 | 37.2 |
| 36.99 | 2.430 | 34.7 |
| 33.78 | 2.653 | 34.4 |
| 73.01 | 1.296 | 31.8 |
| 60.43 | 1.532 | 27.4 |
| 50.50 | 1.807 | 24.2 |
| 60.57 | 1.529 | 22.1 |

Cell and atoms:
```
11
Lattice="8.105 0.000 0.000 -4.053 7.020 0.000 0.000 0.000 4.860" Properties=species:S:1:pos:R:3 pbc="T T T"
Ba 0.000 0.000 0.000
Mg -1.809 5.051 2.430
Mg 0.583 2.927 2.430
Mg 1.226 6.061 2.430
Mg 4.053 2.340 0.000
Hg -1.289 3.411 0.000
Hg 2.597 0.999 2.430
Hg -0.454 6.431 0.000
Hg 1.743 4.197 0.000
Hg 3.619 4.271 2.430
Hg 5.942 1.750 2.430
```



2.
Theoretical X-ray diffraction stick pattern
Compound: NdCo12B4
Radiation: Cu Kα (weighted mean of Kα1 and Kα2)
Structure: a structure optimized by DFT (PBE)

Principal peaks in the range 2θ from 10° to 90°, most intense first:
| Position (°2θ) | d [Å] | I/Imax |
| --- | --- | --- |
| 39.09 | 2.305 | 100.0 |
| 46.63 | 1.948 | 54.5 |
| 65.28 | 1.429 | 24.8 |
| 30.04 | 2.975 | 22.4 |
| 62.43 | 1.488 | 15.7 |
| 76.17 | 1.250 | 13.6 |
| 78.80 | 1.215 | 12.6 |
| 81.40 | 1.182 | 12.1 |
| 42.99 | 2.104 | 11.4 |
| 56.47 | 1.630 | 5.4 |

Cell and atoms:
```
17
Lattice="-3.644 3.644 3.644 3.644 -3.644 3.644 3.644 3.644 -3.644" Properties=species:S:1:pos:R:3 pbc="T T T"
Nd 0.000 0.000 0.000
Co 3.644 2.298 -1.127
Co 2.517 0.000 1.346
Co 4.771 0.000 1.346
Co 1.346 2.517 0.000
Co 2.298 -1.127 3.644
Co 3.644 2.298 1.127
Co 0.000 1.346 2.517
Co 1.346 4.771 0.000
Co 2.298 1.127 3.644
Co -1.127 3.644 2.298
Co 1.127 3.644 2.298
Co 0.000 1.346 4.771
B 1.822 1.822 -1.822
B 1.822 -1.822 1.822
B -1.822 1.822 1.822
B 1.822 1.822 1.822
```



3.
Theoretical X-ray diffraction stick pattern
Compound: NiAgHAu2
Radiation: Cu Kα (weighted mean of Kα1 and Kα2)
Structure: a structure optimized by DFT (PBE)

Principal peaks in the range 2θ from 10° to 90°, most intense first:
| Position (°2θ) | d [Å] | I/Imax |
| --- | --- | --- |
| 39.08 | 2.305 | 100.0 |
| 39.62 | 2.275 | 48.6 |
| 71.53 | 1.319 | 33.5 |
| 70.45 | 1.337 | 17.6 |
| 27.73 | 3.217 | 17.1 |
| 57.28 | 1.608 | 16.3 |
| 83.98 | 1.152 | 11.2 |
| 26.99 | 3.303 | 9.4 |
| 55.65 | 1.652 | 8.9 |
| 48.60 | 1.873 | 8.3 |

Cell and atoms:
```
5
Lattice="4.549 0.000 0.000 0.000 4.549 0.000 0.000 0.000 3.303" Properties=species:S:1:pos:R:3 pbc="T T T"
Ni 0.000 0.000 0.000
Ag 2.275 2.275 0.000
H 0.000 0.000 1.652
Au 0.000 2.275 1.652
Au 2.275 0.000 1.652
```



4.
Theoretical X-ray diffraction stick pattern
Compound: BaOsN2
Radiation: Cu Kα (weighted mean of Kα1 and Kα2)
Structure: a structure optimized by DFT (PBE)

Principal peaks in the range 2θ from 10° to 90°, most intense first:
| Position (°2θ) | d [Å] | I/Imax |
| --- | --- | --- |
| 27.77 | 3.213 | 100.0 |
| 33.66 | 2.663 | 91.7 |
| 28.77 | 3.103 | 73.3 |
| 26.49 | 3.365 | 61.0 |
| 39.50 | 2.281 | 40.6 |
| 28.88 | 3.091 | 28.1 |
| 17.38 | 5.101 | 24.7 |
| 54.16 | 1.693 | 24.1 |
| 38.04 | 2.366 | 21.7 |
| 50.36 | 1.812 | 20.0 |

Cell and atoms:
```
16
Lattice="3.103 -6.731 0.000 3.103 6.731 0.000 0.000 0.000 7.819" Properties=species:S:1:pos:R:3 pbc="T T T"
Ba 3.103 4.758 7.250
Ba 3.103 1.973 3.340
Ba 3.103 -1.973 4.479
Ba 3.103 -4.758 0.570
Os 3.103 5.455 2.927
Os 3.103 1.276 6.837
Os 3.103 -1.276 0.983
Os 3.103 -5.455 4.892
N 3.103 4.629 4.507
N 1.552 0.942 5.865
N 1.552 -0.942 1.955
N 3.103 2.102 0.597
N 3.103 -2.102 7.222
N 4.655 0.942 5.865
N 4.655 -0.942 1.955
N 3.103 -4.629 3.313
```



5.
Theoretical X-ray diffraction stick pattern
Compound: LiPu2MnN4
Radiation: Cu Kα (weighted mean of Kα1 and Kα2)
Structure: a structure optimized by DFT (PBE)

Principal peaks in the range 2θ from 10° to 90°, most intense first:
| Position (°2θ) | d [Å] | I/Imax |
| --- | --- | --- |
| 15.56 | 5.696 | 100.0 |
| 37.70 | 2.386 | 50.4 |
| 31.28 | 2.859 | 49.3 |
| 16.43 | 5.395 | 47.6 |
| 26.97 | 3.306 | 38.8 |
| 33.21 | 2.698 | 37.7 |
| 42.32 | 2.136 | 35.8 |
| 29.16 | 3.063 | 34.9 |
| 27.64 | 3.228 | 34.5 |
| 36.02 | 2.494 | 29.5 |

Cell and atoms:
```
16
Lattice="1.717 -6.125 0.000 1.717 6.125 0.000 0.000 0.000 11.392" Properties=species:S:1:pos:R:3 pbc="T T T"
Li 1.717 5.861 8.544
Li 1.717 -5.861 2.848
Pu 1.717 1.582 6.176
Pu 1.717 1.582 10.913
Pu 1.717 -1.582 0.480
Pu 1.717 -1.582 5.216
Mn 1.717 3.819 2.848
Mn 1.717 -3.819 8.544
N 0.000 0.000 0.000
N 0.000 0.000 5.696
N 1.717 3.152 1.142
N 1.717 3.152 4.554
N 1.717 1.302 8.544
N 1.717 -1.302 2.848
N 1.717 -3.152 6.838
N 1.717 -3.152 10.251
```